Entry 1:
Theoretical powder diffractogram
Compound: Mg5Ag
Radiation: Cu Kα (λ = 1.5418 Å)
Structure: a crystal structure in the Materials Project, relaxed with PBE

Cell and atoms:
Unit cell a=5.4134 b=5.4134 c=15.0209 alpha=90.00 beta=90.00 gamma=120.00
Space group R32 (No. 155, hexagonal axes)
Asymmetric unit:
Mg  0.0000  0.0000  0.1658 x6
Mg  0.0000  0.6597  0.0000 x9
Ag  0.0000  0.0000  0.5000 x3

Principal peaks in the range 2θ = 15–90°, in order of rising 2θ:
(hkl)	two_theta	intensity
0 0 3	17.7	18
1 0 1	19.8	44
0 1 2	22.4	31
1 1 0	33.1	32
0 0 6	35.9	25
1 1 3	37.8	100
1 1 6	49.6	20
1 1 9	65.7	18

=====

Entry 2:
Theoretical powder diffractogram
Compound: MgNbAgO3
Radiation: Cu Kα (λ = 1.5418 Å)
Structure: a crystal structure in the Materials Project, relaxed with PBE

Cell and atoms:
Unit cell a=5.953 b=6.181 c=5.668 alpha=90.00 beta=116.83 gamma=90.00
Space group Cm (No. 8)
Asymmetric unit:
Mg  0.000  0.000  0.000 x2
Nb  0.439  0.000  0.669 x2
Ag  0.223  0.500  0.401 x2
O  0.108  0.000  0.383 x2
O  0.119  0.271  0.891 x4

Principal peaks in the range 2θ = 15–90°, in order of rising 2θ:
(hkl)	two_theta	intensity
0 0 1	17.5	55
1 1 0	22.1	59
0 2 0	28.9	75
2 0 -1	30.1	57
1 1 1	32.8	100
0 2 1	34.0	46
1 1 -2	34.8	72
2 2 -1	42.2	45

=====

Entry 3:
Theoretical powder diffractogram
Compound: Mg2Nb2AgO8
Radiation: Cu Kα (λ = 1.5418 Å)
Structure: a crystal structure in the Materials Project, relaxed with PBE

Cell and atoms:
Unit cell a=5.248 b=6.165 c=10.403 alpha=105.67 beta=91.58 gamma=90.55
Space group P-1 (No. 2)
Asymmetric unit:
Mg  0.246  0.086  0.455 x2
Mg  0.251  0.632  0.541 x2
Nb  0.231  0.462  0.244 x2
Nb  0.264  0.209  0.754 x2
Ag  0.248  0.832  0.999 x2
O  0.050  0.412  0.620 x2
O  0.061  0.694  0.161 x2
O  0.076  0.213  0.127 x2
O  0.124  0.949  0.614 x2
O  0.379  0.340  0.389 x2
O  0.417  0.070  0.874 x2
O  0.445  0.512  0.838 x2
O  0.454  0.798  0.384 x2

Principal peaks in the range 2θ = 15–90°, in order of rising 2θ:
(hkl)	two_theta	intensity
-1 1 1	25.4	85
1 1 -2	26.0	77
1 1 1	26.2	100
-1 1 2	30.9	57
1 1 -3	31.6	55
1 1 2	31.8	57
1 -2 1	33.6	60
2 0 0	34.2	65